Starting from a DFT-relaxed cell (PBE, Alexandria), the powder X-ray diffraction pattern of Tb4Dy2Ho7 was calculated for Cu Ka.
Lines closer than 0.1° are merged.

The 10 most intense peaks (15 to 90 degrees two-theta), by angle:
2θ 31.0, rel. 100
2θ 36.0, rel. 34
2θ 36.0, rel. 17
2θ 51.8, rel. 30
2θ 61.5, rel. 14
2θ 61.7, rel. 28
2θ 64.7, rel. 6
2θ 64.7, rel. 6
2θ 84.7, rel. 7
2θ 87.5, rel. 8

Cell and atoms:
a b c (Å): 6.106 7.887 9.345
angles (deg): 65.11 83.82 82.57
Space group P-1 (No. 2)
Inequivalent atoms, fractional coordinates:
Tb  0.038  0.423  0.346 x2
Tb  0.192  0.115  0.731 x2
Dy  0.346  0.808  0.115 x2
Ho  0.116  0.270  0.039 x2
Ho  0.269  0.962  0.423 x2
Ho  0.423  0.654  0.808 x2
Ho  0.500  0.500  0.500 x1